The following is a computed XRD peak list of CuGeS2. It was derived from DFT lattice parameters and positions (PBE), using Cu Kα (weighted mean of Kα1 and Kα2).
Peak positions follow from Bragg's law for the DFT cell and can differ from measured ones.

Largest 8 diffraction maxima, sorted by position, 10 to 90 degrees two-theta:
2theta	intensity	h k l
20.8	100	0 2 0
28.9	24	2 0 0
29.2	36	1 2 1
35.8	90	2 2 0
41.3	65	2 0 2
46.7	46	2 2 2
52.0	64	0 4 2
83.3	15	2 4 4

```
data_CuGeS2
_cell_length_a 6.196
_cell_length_b 8.544
_cell_length_c 6.175
_cell_angle_alpha 90.00
_cell_angle_beta 90.00
_cell_angle_gamma 90.00
_space_group_name_H-M_alt 'I b a m'
_space_group_IT_number 72
_space_group_name_Hall '-I 2 2c'
loop_
_atom_site_label
_atom_site_type_symbol
_atom_site_fract_x
_atom_site_fract_y
_atom_site_fract_z
Cu1 Cu 0.000 0.000 0.250
Ge1 Ge 0.000 0.500 0.250
S1 S 0.239 0.121 0.000
```

---

The following is a computed XRD peak list of Cu2GeS3. It was derived from DFT lattice parameters and positions (PBE), using Cu Kα (weighted mean of Kα1 and Kα2).
Peak positions follow from Bragg's law for the DFT cell and can differ from measured ones.

Largest 8 diffraction maxima, sorted by position, 10 to 90 degrees two-theta:
2theta	intensity	h k l
29.0	35	0 0 2
29.1	100	1 3 -1
33.6	10	1 3 1
48.3	53	0 6 0
48.6	26	3 3 -1
57.3	17	0 6 2
57.4	22	3 3 1
57.6	9	3 3 -3

```
data_Cu2GeS3
_cell_length_a 6.483
_cell_length_b 11.306
_cell_length_c 6.526
_cell_angle_alpha 90.00
_cell_angle_beta 109.18
_cell_angle_gamma 90.00
_space_group_name_H-M_alt 'C 1 c 1'
_space_group_IT_number 9
loop_
_space_group_symop_operation_xyz
'x,y,z'
'x,-y,z+1/2'
'x+1/2,y+1/2,z'
'x+1/2,-y+1/2,z+1/2'
loop_
_atom_site_label
_atom_site_type_symbol
_atom_site_fract_x
_atom_site_fract_y
_atom_site_fract_z
Cu1 Cu 0.000 0.084 0.000
Cu2 Cu 0.493 0.248 0.000
Ge1 Ge 0.479 0.088 0.480
S1 S 0.112 0.085 0.373
S2 S 0.117 0.252 0.871
S3 S 0.120 0.417 0.367
```

---

The following is a computed XRD peak list of Cu2GeS3. It was derived from DFT lattice parameters and positions (PBE), using Cu Kα (weighted mean of Kα1 and Kα2).
Peak positions follow from Bragg's law for the DFT cell and can differ from measured ones.

Largest 8 diffraction maxima, sorted by position, 10 to 90 degrees two-theta:
2theta	intensity	h k l
28.9	100	1 0 1
29.2	96	0 3 1
33.6	16	1 3 0
47.8	20	2 0 0
48.4	77	1 3 2
48.8	19	0 6 0
57.0	27	2 3 1
57.7	38	1 6 1

```
data_Cu2GeS3
_cell_length_a 3.807
_cell_length_b 11.200
_cell_length_c 5.307
_cell_angle_alpha 90.00
_cell_angle_beta 90.00
_cell_angle_gamma 90.00
_space_group_name_H-M_alt 'I m m 2'
_space_group_IT_number 44
loop_
_space_group_symop_operation_xyz
'x,y,z'
'-x,-y,z'
'-x,y,z'
'x,-y,z'
'x+1/2,y+1/2,z+1/2'
'-x+1/2,-y+1/2,z+1/2'
'-x+1/2,y+1/2,z+1/2'
'x+1/2,-y+1/2,z+1/2'
loop_
_atom_site_label
_atom_site_type_symbol
_atom_site_fract_x
_atom_site_fract_y
_atom_site_fract_z
Cu1 Cu 0.000 0.167 0.000
Ge1 Ge 0.000 0.500 0.969
S1 S 0.000 0.000 0.740
S2 S 0.000 0.332 0.739
```

---

The following is a computed XRD peak list of CuGe2S6. It was derived from DFT lattice parameters and positions (PBE), using Cu Kα (weighted mean of Kα1 and Kα2).
Peak positions follow from Bragg's law for the DFT cell and can differ from measured ones.

Largest 8 diffraction maxima, sorted by position, 10 to 90 degrees two-theta:
2theta	intensity	h k l
17.5	68	1 1 -1
24.9	100	3 1 0
28.8	72	2 2 1
29.3	55	1 3 -1
30.7	52	1 3 1
33.2	37	0 4 0
51.6	54	1 3 -3
52.2	81	6 0 -2

```
data_CuGe2S6
_cell_length_a 11.544
_cell_length_b 10.769
_cell_length_c 6.116
_cell_angle_alpha 90.00
_cell_angle_beta 100.39
_cell_angle_gamma 90.00
_space_group_name_H-M_alt 'C 1 2/c 1'
_space_group_IT_number 15
loop_
_space_group_symop_operation_xyz
'x,y,z'
'-x,-y,-z'
'-x,y,-z+1/2'
'x,-y,z+1/2'
'x+1/2,y+1/2,z'
'-x+1/2,-y+1/2,-z'
'-x+1/2,y+1/2,-z+1/2'
'x+1/2,-y+1/2,z+1/2'
loop_
_atom_site_label
_atom_site_type_symbol
_atom_site_fract_x
_atom_site_fract_y
_atom_site_fract_z
Cu1 Cu 0.000 0.105 0.250
Ge1 Ge 0.196 0.415 0.343
S1 S 0.105 0.077 0.608
S2 S 0.122 0.410 0.660
S3 S 0.134 0.249 0.140
```

---

The following is a computed XRD peak list of ScCuGeS4. It was derived from DFT lattice parameters and positions (PBE), using Cu Kα (weighted mean of Kα1 and Kα2).
Peak positions follow from Bragg's law for the DFT cell and can differ from measured ones.

Largest 8 diffraction maxima, sorted by position, 10 to 90 degrees two-theta:
2theta	intensity	h k l
24.1	46	1 1 2
27.8	43	0 1 3
27.9	34	1 0 3
28.7	49	1 2 1
29.1	67	2 1 1
35.2	43	2 2 0
45.9	51	2 3 1
49.3	100	2 2 4

```
data_ScCuGeS4
_cell_length_a 7.108
_cell_length_b 7.323
_cell_length_c 10.720
_cell_angle_alpha 90.00
_cell_angle_beta 90.00
_cell_angle_gamma 90.00
_space_group_name_H-M_alt 'I m m a'
_space_group_IT_number 74
_space_group_name_Hall '-I 2b 2'
loop_
_atom_site_label
_atom_site_type_symbol
_atom_site_fract_x
_atom_site_fract_y
_atom_site_fract_z
Sc1 Sc 0.000 0.000 0.000
Cu1 Cu 0.250 0.250 0.250
Ge1 Ge 0.000 0.250 0.652
S1 S 0.000 0.036 0.243
S2 S 0.247 0.250 0.510
```

---

The following is a computed XRD peak list of SrCu2GeS4. It was derived from DFT lattice parameters and positions (PBE), using Cu Kα (weighted mean of Kα1 and Kα2).
Peak positions follow from Bragg's law for the DFT cell and can differ from measured ones.

Largest 8 diffraction maxima, sorted by position, 10 to 90 degrees two-theta:
2theta	intensity	h k l
24.1	38	1 0 3
28.6	100	1 0 4
28.9	98	1 1 0
33.7	39	1 0 5
37.9	47	0 2 3
41.1	39	0 2 4
50.6	37	0 1 8
51.0	30	2 1 4

```
data_SrCu2GeS4
_cell_length_a 6.1849
_cell_length_b 6.1849
_cell_length_c 15.3274
_cell_angle_alpha 90.00
_cell_angle_beta 90.00
_cell_angle_gamma 120.00
_space_group_name_H-M_alt 'P 32 2 1'
_space_group_IT_number 154
loop_
_space_group_symop_operation_xyz
'x,y,z'
'-y,x-y,z+2/3'
'-x+y,-x,z+1/3'
'y,x,-z'
'x-y,-y,-z+1/3'
'-x,-x+y,-z+2/3'
loop_
_atom_site_label
_atom_site_type_symbol
_atom_site_fract_x
_atom_site_fract_y
_atom_site_fract_z
Sr1 Sr 0.0000 0.5540 0.3333
Cu1 Cu 0.0759 0.6505 0.0887
Ge1 Ge 0.0000 0.7133 0.8333
S1 S 0.0375 0.5080 0.7181
S2 S 0.1025 0.3361 0.1651
```